Diffraction record for CsSbS6O18F6. The XRD peak list is computed, not measured: it uses a crystal structure in the Materials Project, relaxed with GGA-PBE and copper Kα.
Neutral-atom scattering factors, no anomalous dispersion.

Crystal structure
abc: 12.3219 12.3219 12.3097
angles: 90.00 90.00 120.00
Space group R-3 (No. 148, hexagonal axes)
Asymmetric unit:
Cs1 0.0000 0.0000 0.0000
Sb1 0.0000 0.0000 0.5000
S1 0.0650 0.2322 0.6720
O1 0.0050 0.1598 0.7662
O2 0.0221 0.5182 0.6554
O3 0.0596 0.9013 0.5880
F1 0.0405 0.7576 0.3942

Largest 8 diffraction maxima, sorted by position, 2θ = 5–70°:
| Position (°2θ) | I (rel.) | (hkl) |
| --- | --- | --- |
| 10.97 | 21 | 1 0 1 |
| 14.38 | 60 | 1 1 0 |
| 16.63 | 35 | 0 1 2 |
| 21.66 | 22 | 0 0 3 |
| 23.21 | 47 | 2 1 1 |
| 26.42 | 100 | 3 -2 2 |
| 36.73 | 45 | 2 1 4 |
| 39.62 | 23 | 2 3 2 |